Diffraction record for CdHg9Pb2. The powder diffractogram is calculated, not measured: it uses the GGA-PBE geometry in Alexandria and Cu Ka.
Lines closer than 0.1° are merged.

Main lines, by angle (5 to 70 degrees two-theta):
| index | d [Å] | I/Imax |
| --- | --- | --- |
| 1 0 2 | 3.807 | 1 |
| 1 1 2 | 3.147 | 2 |
| 2 0 0 | 2.797 | 62 |
| 1 1 3 | 2.606 | 100 |
| 2 2 0 | 1.978 | 23 |
| 0 0 6 | 1.733 | 7 |
| 2 0 5 | 1.669 | 1 |
| 3 1 3 | 1.575 | 44 |
| 2 0 6 | 1.473 | 16 |
| 4 0 0 | 1.398 | 8 |

Structure:
```
CdHg9Pb2
1.0
5.593 0.000 0.000
0.000 5.593 0.000
0.000 0.000 10.395
Cd Hg Pb
1 9 2
direct
0.000 0.000 0.000
0.000 0.500 0.158
0.000 0.500 0.500
0.000 0.500 0.842
0.500 0.000 0.158
0.500 0.000 0.500
0.500 0.000 0.842
0.500 0.500 0.000
0.500 0.500 0.333
0.500 0.500 0.667
0.000 0.000 0.317
0.000 0.000 0.683
```